Entry 1:
Diffraction record for Cu12As4S13. The PXRD pattern is calculated, not measured: it uses a PBE-relaxed structure and Cu Kα.

Structure:
```
Cu12As4S13
1.0
-5.1059 5.1059 5.1059
5.1059 -5.1059 5.1059
5.1059 5.1059 -5.1059
Cu As S
12 4 13
Direct
0.0000 0.2212 0.2212
0.0000 0.7788 0.7788
0.2212 0.0000 0.2212
0.2212 0.2212 0.0000
0.2500 0.5000 0.7500
0.2500 0.7500 0.5000
0.5000 0.2500 0.7500
0.5000 0.7500 0.2500
0.7500 0.2500 0.5000
0.7500 0.5000 0.2500
0.7788 0.0000 0.7788
0.7788 0.7788 0.0000
0.0000 0.0000 0.5275
0.0000 0.5275 0.0000
0.4725 0.4725 0.4725
0.5275 0.0000 0.0000
0.0000 0.0000 0.0000
0.0000 0.2408 0.4800
0.0000 0.4800 0.2408
0.2392 0.7592 0.7592
0.2408 0.0000 0.4800
0.2408 0.4800 0.0000
0.4800 0.0000 0.2408
0.4800 0.2408 0.0000
0.5200 0.5200 0.7608
0.5200 0.7608 0.5200
0.7592 0.2392 0.7592
0.7592 0.7592 0.2392
0.7608 0.5200 0.5200
```

Main lines, by intensity (10° ≤ 2θ ≤ 90°):
2θ/deg  d (Å)  intensity
30.32  2.948  100
50.56  1.805  53
60.10  1.539  32
35.15  2.553  21
82.32  1.171  10
74.31  1.276  7
37.36  2.407  6
48.85  1.864  6
45.28  2.003  6
55.47  1.657  5

Entry 2:
Diffraction record for CoN. The PXRD pattern is calculated, not measured: it uses a PBE-relaxed structure and Cu Kα.

Structure:
```
CoN
1.0
2.5213 0.0000 0.0000
0.0000 2.5213 0.0000
0.0000 0.0000 2.5213
Co N
1 1
Direct
0.0000 0.0000 0.0000
0.5000 0.5000 0.5000
```

Main lines, by intensity (10° ≤ 2θ ≤ 90°):
2θ/deg  d (Å)  intensity
51.24  1.783  100
35.61  2.521  66
86.27  1.128  20
63.96  1.456  16
75.40  1.261  14